Record 1
This entry pairs a crystal structure of Dy2Ga6Ni3 with its simulated PXRD pattern. Radiation: Cu Kα X-rays. Structure: a cell relaxed with PBE.

Structure:
```
Dy2Ga6Ni3
1.0
7.397 0.000 0.000
-3.698 6.406 0.000
0.000 0.000 4.046
Dy Ga Ni
2 6 3
Direct
0.333 0.667 0.000 Dy
0.667 0.333 0.000 Dy
0.000 0.308 0.500 Ga
0.000 0.797 0.000 Ga
0.203 0.203 0.000 Ga
0.308 0.000 0.500 Ga
0.692 0.692 0.500 Ga
0.797 0.000 0.000 Ga
0.000 0.631 0.500 Ni
0.369 0.369 0.500 Ni
0.631 0.000 0.500 Ni
```

Main lines, sorted by position (2θ from 10° to 80°):
- 27.86°, intensity 10, hkl 2 0 0
- 32.81°, intensity 100, hkl 1 1 1
- 35.76°, intensity 15, hkl 2 0 1
- 37.13°, intensity 20, hkl 2 1 0
- 42.33°, intensity 39, hkl 3 0 0
- 43.56°, intensity 44, hkl 2 1 1
- 44.80°, intensity 24, hkl 0 0 2
- 54.57°, intensity 15, hkl 2 2 1
- 63.33°, intensity 25, hkl 3 0 2
- 71.39°, intensity 28, hkl 4 1 1

=====

Record 2
This entry pairs a crystal structure of Na4Al3Ge3BrO12 with its simulated PXRD pattern. Radiation: Cu Kα X-rays. Structure: a cell relaxed with PBE.

Structure:
```
Na4Al3Ge3BrO12
1.0
9.197 0.000 0.000
0.000 9.197 0.000
0.000 0.000 9.197
Na Al Ge Br O
8 6 6 2 24
Direct
0.182 0.182 0.182 Na
0.182 0.818 0.818 Na
0.318 0.318 0.682 Na
0.318 0.682 0.318 Na
0.682 0.318 0.318 Na
0.682 0.682 0.682 Na
0.818 0.182 0.818 Na
0.818 0.818 0.182 Na
0.000 0.250 0.500 Al
0.000 0.750 0.500 Al
0.250 0.500 0.000 Al
0.500 0.000 0.250 Al
0.500 0.000 0.750 Al
0.750 0.500 0.000 Al
0.000 0.500 0.250 Ge
0.000 0.500 0.750 Ge
0.250 0.000 0.500 Ge
0.500 0.250 0.000 Ge
0.500 0.750 0.000 Ge
0.750 0.000 0.500 Ge
0.000 0.000 0.000 Br
0.500 0.500 0.500 Br
0.070 0.355 0.645 O
0.070 0.645 0.355 O
0.145 0.145 0.430 O
0.145 0.430 0.145 O
0.145 0.570 0.855 O
0.145 0.855 0.570 O
0.355 0.070 0.645 O
0.355 0.355 0.930 O
0.355 0.645 0.070 O
0.355 0.930 0.355 O
0.430 0.145 0.145 O
0.430 0.855 0.855 O
0.570 0.145 0.855 O
0.570 0.855 0.145 O
0.645 0.070 0.355 O
0.645 0.355 0.070 O
0.645 0.645 0.930 O
0.645 0.930 0.645 O
0.855 0.145 0.570 O
0.855 0.430 0.855 O
0.855 0.570 0.145 O
0.855 0.855 0.430 O
0.930 0.355 0.355 O
0.930 0.645 0.645 O
```

Main lines, sorted by position (2θ from 10° to 80°):
- 13.62°, intensity 13, hkl 1 1 0
- 19.30°, intensity 14, hkl 2 0 0
- 21.61°, intensity 22, hkl 2 1 0
- 23.70°, intensity 100, hkl 2 1 1
- 33.76°, intensity 19, hkl 2 2 2
- 36.56°, intensity 40, hkl 3 2 1
- 41.66°, intensity 14, hkl 3 3 0
- 56.61°, intensity 18, hkl 4 4 0
- 62.22°, intensity 18, hkl 5 3 2
- 76.04°, intensity 13, hkl 6 3 3

=====

Record 3
This entry pairs a crystal structure of CsK3Br3 with its simulated PXRD pattern. Radiation: Cu Kα X-rays. Structure: a cell relaxed with PBE.

Structure:
```
CsK3Br3
1.0
9.180 0.000 0.000
0.000 9.180 0.000
0.000 0.000 9.180
Cs K Br
2 6 6
Direct
0.000 0.000 0.000 Cs
0.500 0.500 0.500 Cs
0.000 0.250 0.500 K
0.000 0.750 0.500 K
0.250 0.500 0.000 K
0.500 0.000 0.250 K
0.500 0.000 0.750 K
0.750 0.500 0.000 K
0.000 0.500 0.250 Br
0.000 0.500 0.750 Br
0.250 0.000 0.500 Br
0.500 0.250 0.000 Br
0.500 0.750 0.000 Br
0.750 0.000 0.500 Br
```

Main lines, sorted by position (2θ from 10° to 80°):
- 19.34°, intensity 41, hkl 2 0 0
- 23.74°, intensity 100, hkl 2 1 1
- 36.63°, intensity 63, hkl 3 2 1
- 39.26°, intensity 25, hkl 4 0 0
- 44.12°, intensity 18, hkl 4 2 0
- 46.40°, intensity 16, hkl 3 3 2
- 54.77°, intensity 19, hkl 5 2 1
- 56.73°, intensity 16, hkl 4 4 0
- 62.36°, intensity 19, hkl 6 1 1
- 76.21°, intensity 14, hkl 7 2 1

=====

Record 4
This entry pairs a crystal structure of KPu2NpO8 with its simulated PXRD pattern. Radiation: Cu Kα X-rays. Structure: a cell relaxed with PBE.

Structure:
```
KPu2NpO8
1.0
5.247 0.000 0.000
0.000 6.987 0.000
-0.162 0.000 5.248
K Pu Np O
1 2 1 8
Direct
0.000 0.000 0.000 K
0.500 0.251 0.500 Pu
0.500 0.749 0.500 Pu
0.000 0.500 0.000 Np
0.195 0.300 0.193 O
0.195 0.700 0.193 O
0.317 0.500 0.681 O
0.338 0.000 0.660 O
0.662 0.000 0.340 O
0.683 0.500 0.319 O
0.805 0.300 0.807 O
0.805 0.700 0.807 O
```

Main lines, sorted by position (2θ from 10° to 80°):
- 12.67°, intensity 19, hkl 0 1 0
- 16.90°, intensity 18, hkl 1 0 0
- 21.18°, intensity 20, hkl 0 1 1
- 23.61°, intensity 61, hkl 1 0 -1
- 24.36°, intensity 54, hkl 1 0 1
- 30.75°, intensity 100, hkl 1 2 0
- 34.18°, intensity 34, hkl 0 0 2
- 46.21°, intensity 45, hkl 2 2 -1
- 47.05°, intensity 38, hkl 2 2 1
- 59.07°, intensity 24, hkl 3 2 0